Computed X-ray diffraction stick pattern of Rb3Zn2Sb4Pb2 for a wavelength of 1.5418 Å, from DFT lattice parameters and positions (GGA-PBE).
Neutral-atom scattering factors, no anomalous dispersion.

Structure:
Lattice parameters (Å, degrees): 4.5462 4.5462 22.9369 90.00 90.00 120.00
Space group P-3m1 (No. 164)
Symmetry-distinct sites (fractional):
Rb  0.0000  0.0000  0.0000 [1 per cell]
Rb  0.0000  0.0000  0.2529 [2 per cell]
Zn  0.3333  0.6667  0.1257 [2 per cell]
Sb  0.3333  0.6667  0.3667 [2 per cell]
Sb  0.3333  0.6667  0.8752 [2 per cell]
Pb  0.3333  0.6667  0.5648 [2 per cell]

Largest 8 diffraction maxima, in order of falling intensity, 10° ≤ 2θ ≤ 90°:
d/Å, 2θ/deg, I_rel
3.246, 27.5, 100.0
2.273, 39.7, 63.8
2.743, 32.7, 34.0
2.988, 29.9, 31.9
3.500, 25.4, 27.9
1.862, 48.9, 20.4
5.734, 15.5, 19.9
1.440, 64.7, 17.5

***

Computed X-ray diffraction stick pattern of Rb6PbSe4 for a wavelength of 1.5418 Å, from DFT lattice parameters and positions (GGA-PBE).
Neutral-atom scattering factors, no anomalous dispersion.

Structure:
Lattice parameters (Å, degrees): 11.1553 11.1553 8.4817 90.00 90.00 120.00
Space group P6_3mc (No. 186)
Symmetry-distinct sites (fractional):
Rb  0.0616  0.5308  0.0000 [6 per cell]
Rb  0.1466  0.2932  0.3328 [6 per cell]
Pb  0.3333  0.6667  0.6204 [2 per cell]
Se  0.1869  0.3737  0.7298 [6 per cell]
Se  0.3333  0.6667  0.2711 [2 per cell]

Largest 8 diffraction maxima, in order of falling intensity, 10° ≤ 2θ ≤ 90°:
d/Å, 2θ/deg, I_rel
2.789, 32.1, 100.0
3.354, 26.6, 88.0
3.187, 28.0, 72.7
6.374, 13.9, 41.0
2.440, 36.8, 30.8
2.713, 33.0, 25.9
3.376, 26.4, 24.2
3.883, 22.9, 23.8